KInW2O8: calculated X-ray powder pattern (Cu Kα (weighted mean of Kα1 and Kα2)), based on DFT lattice parameters and positions (GGA+U).

Largest 10 diffraction maxima, by angle, 2θ = 10–90°:
d_spacing  2θ/deg  intensity  hkl
4.237  21.0  100  0 1 2
3.042  29.4  34  0 1 4
2.952  30.3  43  1 1 0
2.422  37.1  12  2 0 2
2.263  39.8  16  1 0 6
2.119  42.7  15  0 2 4
1.872  48.6  21  1 2 2
1.721  53.2  13  1 2 4
1.593  57.9  15  1 1 8
1.534  60.3  9  2 1 6

Crystal structure
```
data_KInW2O8
_chemical_formula_sum 'K2 In2 W4 O16'
_cell_length_a 5.9040
_cell_length_b 5.9040
_cell_length_c 15.1409
_cell_angle_alpha 90.00
_cell_angle_beta 90.00
_cell_angle_gamma 120.00
_symmetry_space_group_name_H-M 'P -3 c 1'
_symmetry_Int_Tables_number 165
_symmetry_space_group_name_Hall '-P 3 2"c'
loop_
_atom_site_label
_atom_site_fract_x
_atom_site_fract_y
_atom_site_fract_z
K1 0.0000 0.0000 0.2500
In1 0.0000 0.0000 0.0000
W1 0.3333 0.6667 0.1233
O1 0.1195 0.3301 0.0868
O2 0.3333 0.6667 0.2404
```

KInW2O6: calculated X-ray powder pattern (Cu Kα (weighted mean of Kα1 and Kα2)), based on DFT lattice parameters and positions (GGA+U).

Largest 10 diffraction maxima, by angle, 2θ = 10–90°:
d_spacing  2θ/deg  intensity  hkl
4.666  19.0  5  1 1 1
4.041  22.0  29  2 0 0
2.857  31.3  100  2 2 0
2.020  44.9  29  4 0 0
1.807  50.5  13  4 2 0
1.650  55.7  40  4 2 2
1.429  65.3  18  4 4 0
1.347  69.8  6  6 0 0
1.278  74.2  17  6 2 0
1.166  82.7  6  4 4 4

Crystal structure
```
data_KInW2O6
_chemical_formula_sum 'K4 In4 W8 O24'
_cell_length_a 8.081
_cell_length_b 8.081
_cell_length_c 8.081
_cell_angle_alpha 90.00
_cell_angle_beta 90.00
_cell_angle_gamma 90.00
_symmetry_space_group_name_H-M 'F m -3 m'
_symmetry_Int_Tables_number 225
_symmetry_space_group_name_Hall '-F 4 2 3'
loop_
_atom_site_label
_atom_site_fract_x
_atom_site_fract_y
_atom_site_fract_z
K1 0.000 0.000 0.000
In1 0.000 0.000 0.500
W1 0.250 0.250 0.250
O1 0.000 0.250 0.250
```

KZrInWO6: calculated X-ray powder pattern (Cu Kα (weighted mean of Kα1 and Kα2)), based on DFT lattice parameters and positions (GGA+U).

Largest 10 diffraction maxima, by angle, 2θ = 10–90°:
d_spacing  2θ/deg  intensity  hkl
4.741  18.7  20  1 1 1
4.106  21.6  17  2 0 0
2.903  30.8  100  2 2 0
2.476  36.3  11  3 1 1
2.053  44.1  32  4 0 0
1.836  49.7  7  4 2 0
1.676  54.8  39  4 2 2
1.452  64.2  19  4 4 0
1.298  72.9  17  6 2 0
1.097  89.3  21  6 4 2

Crystal structure
```
data_KZrInWO6
_chemical_formula_sum 'K4 Zr4 In4 W4 O24'
_cell_length_a 8.211
_cell_length_b 8.211
_cell_length_c 8.211
_cell_angle_alpha 90.00
_cell_angle_beta 90.00
_cell_angle_gamma 90.00
_symmetry_space_group_name_H-M 'F -4 3 m'
_symmetry_Int_Tables_number 216
_symmetry_space_group_name_Hall 'F -4 2 3'
loop_
_atom_site_label
_atom_site_fract_x
_atom_site_fract_y
_atom_site_fract_z
K1 0.000 0.000 0.000
Zr1 0.250 0.250 0.750
In1 0.000 0.000 0.500
W1 0.250 0.250 0.250
O1 0.011 0.250 0.250
```

LiMgInMo3O12: calculated X-ray powder pattern (Cu Kα (weighted mean of Kα1 and Kα2)), based on DFT lattice parameters and positions (GGA+U).

Largest 10 diffraction maxima, by angle, 2θ = 10–90°:
d_spacing  2θ/deg  intensity  hkl
5.927  14.9  35  1 -1 0
4.438  20.0  28  0 1 -2
4.004  22.2  32  1 1 -2
3.983  22.3  43  1 -2 0
3.792  23.5  99  0 1 2
3.705  24.0  33  1 1 1
3.473  25.6  61  2 0 -1
3.450  25.8  43  -2 1 1
3.430  26.0  100  0 2 -2
3.057  29.2  38  -1 2 2

Crystal structure
```
data_LiMgInMo3O12
_chemical_formula_sum 'Li2 Mg2 In2 Mo6 O24'
_cell_length_a 7.100
_cell_length_b 8.617
_cell_length_c 9.931
_cell_angle_alpha 96.51
_cell_angle_beta 106.47
_cell_angle_gamma 101.75
_symmetry_space_group_name_H-M 'P -1'
_symmetry_Int_Tables_number 2
loop_
_symmetry_equiv_pos_as_xyz
'x,y,z'
'-x,-y,-z'
loop_
_atom_site_label
_atom_site_fract_x
_atom_site_fract_y
_atom_site_fract_z
Li1 0.038 0.105 0.297
Mg1 0.459 0.303 0.508
In1 0.247 0.698 0.905
Mo1 0.017 0.298 0.620
Mo2 0.302 0.398 0.166
Mo3 0.495 0.007 0.249
O1 0.011 0.129 0.703
O2 0.057 0.267 0.145
O3 0.148 0.276 0.488
O4 0.150 0.480 0.755
O5 0.238 0.696 0.465
O6 0.253 0.562 0.080
O7 0.268 0.874 0.763
O8 0.337 0.903 0.074
O9 0.361 0.138 0.318
O10 0.440 0.296 0.075
O11 0.442 0.475 0.352
O12 0.453 0.135 0.641
```

LiInMo2O8: calculated X-ray powder pattern (Cu Kα (weighted mean of Kα1 and Kα2)), based on DFT lattice parameters and positions (GGA+U).

Largest 10 diffraction maxima, by angle, 2θ = 10–90°:
d_spacing  2θ/deg  intensity  hkl
7.452  11.9  60  1 1 0
3.726  23.9  40  2 2 0
3.106  28.7  21  3 1 0
3.041  29.4  92  2 2 -1
2.972  30.1  100  2 2 1
2.929  30.5  32  0 4 0
2.546  35.3  22  0 0 2
2.537  35.4  22  0 4 1
1.809  50.4  23  2 6 0
1.467  63.4  26  0 4 3

Crystal structure
```
data_LiInMo2O8
_chemical_formula_sum 'Li4 In4 Mo8 O32'
_cell_length_a 9.669
_cell_length_b 11.705
_cell_length_c 5.093
_cell_angle_alpha 90.00
_cell_angle_beta 91.76
_cell_angle_gamma 90.00
_symmetry_space_group_name_H-M 'C 1 2/c 1'
_symmetry_Int_Tables_number 15
loop_
_symmetry_equiv_pos_as_xyz
'x,y,z'
'-x,-y,-z'
'-x,y,-z+1/2'
'x,-y,z+1/2'
'x+1/2,y+1/2,z'
'-x+1/2,-y+1/2,-z'
'-x+1/2,y+1/2,-z+1/2'
'x+1/2,-y+1/2,z+1/2'
loop_
_atom_site_label
_atom_site_fract_x
_atom_site_fract_y
_atom_site_fract_z
Li1 0.000 0.085 0.250
In1 0.000 0.408 0.750
Mo1 0.232 0.159 0.750
O1 0.123 0.435 0.110
O2 0.124 0.059 0.593
O3 0.138 0.194 0.043
O4 0.148 0.300 0.568
```

LiInMo2O8: calculated X-ray powder pattern (Cu Kα (weighted mean of Kα1 and Kα2)), based on DFT lattice parameters and positions (GGA+U).

Largest 10 diffraction maxima, by angle, 2θ = 10–90°:
d_spacing  2θ/deg  intensity  hkl
7.047  12.6  63  1 0 0
6.345  14.0  69  0 0 2
3.886  22.9  69  0 2 1
3.756  23.7  100  0 1 3
3.527  25.3  52  2 0 0
3.457  25.8  42  2 0 -2
3.235  27.6  65  2 1 0
3.183  28.0  41  2 1 -2
2.957  30.2  66  0 1 4
2.711  33.0  62  2 2 -1

Crystal structure
```
data_LiInMo2O8
_chemical_formula_sum 'Li4 In4 Mo8 O32'
_cell_length_a 7.265
_cell_length_b 8.164
_cell_length_c 13.082
_cell_angle_alpha 90.00
_cell_angle_beta 104.05
_cell_angle_gamma 90.00
_symmetry_space_group_name_H-M 'P 1 21/c 1'
_symmetry_Int_Tables_number 14
loop_
_symmetry_equiv_pos_as_xyz
'x,y,z'
'-x,-y,-z'
'-x,y+1/2,-z+1/2'
'x,-y+1/2,z+1/2'
loop_
_atom_site_label
_atom_site_fract_x
_atom_site_fract_y
_atom_site_fract_z
Li1 0.038 0.151 0.358
In1 0.381 0.161 0.032
Mo1 0.096 0.711 0.424
Mo2 0.483 0.588 0.172
O1 0.010 0.139 0.202
O2 0.078 0.187 0.995
O3 0.130 0.579 0.910
O4 0.254 0.675 0.147
O5 0.327 0.594 0.470
O6 0.359 0.218 0.383
O7 0.423 0.063 0.188
O8 0.459 0.110 0.612
```

LiInW2O8: calculated X-ray powder pattern (Cu Kα (weighted mean of Kα1 and Kα2)), based on DFT lattice parameters and positions (GGA+U).

Largest 10 diffraction maxima, by angle, 2θ = 10–90°:
d_spacing  2θ/deg  intensity  hkl
4.858  18.3  56  2 0 0
3.858  23.1  52  0 2 1
3.752  23.7  59  2 2 0
3.053  29.3  100  2 2 -1
2.990  29.9  92  2 2 1
2.555  35.1  41  0 4 1
2.547  35.2  31  0 0 2
2.248  40.1  24  2 4 1
1.825  50.0  31  2 6 0
1.748  52.3  26  4 4 1

Crystal structure
```
data_LiInW2O8
_chemical_formula_sum 'Li4 In4 W8 O32'
_cell_length_a 9.720
_cell_length_b 11.813
_cell_length_c 5.097
_cell_angle_alpha 90.00
_cell_angle_beta 91.61
_cell_angle_gamma 90.00
_symmetry_space_group_name_H-M 'C 1 2/c 1'
_symmetry_Int_Tables_number 15
loop_
_symmetry_equiv_pos_as_xyz
'x,y,z'
'-x,-y,-z'
'-x,y,-z+1/2'
'x,-y,z+1/2'
'x+1/2,y+1/2,z'
'-x+1/2,-y+1/2,-z'
'-x+1/2,y+1/2,-z+1/2'
'x+1/2,-y+1/2,z+1/2'
loop_
_atom_site_label
_atom_site_fract_x
_atom_site_fract_y
_atom_site_fract_z
Li1 0.000 0.158 0.250
In1 0.000 0.333 0.750
W1 0.244 0.086 0.747
O1 0.122 0.188 0.606
O2 0.125 0.320 0.106
O3 0.145 0.050 0.057
O4 0.145 0.446 0.568
```

MgMn4In2O10: calculated X-ray powder pattern (Cu Kα (weighted mean of Kα1 and Kα2)), based on DFT lattice parameters and positions (GGA+U).

Largest 10 diffraction maxima, by angle, 2θ = 10–90°:
d_spacing  2θ/deg  intensity  hkl
5.156  17.2  94  2 0 0
3.732  23.8  100  1 1 0
3.543  25.1  45  2 0 2
3.486  25.6  53  1 1 1
2.970  30.1  56  2 0 -3
2.791  32.1  53  2 0 3
2.608  34.4  84  3 1 0
2.571  34.9  63  1 1 -3
2.138  42.3  48  4 0 -3
2.002  45.3  76  0 2 0

Crystal structure
```
data_MgMn4In2O10
_chemical_formula_sum 'Mg2 Mn8 In4 O20'
_cell_length_a 10.335
_cell_length_b 4.003
_cell_length_c 10.421
_cell_angle_alpha 90.00
_cell_angle_beta 93.84
_cell_angle_gamma 90.00
_symmetry_space_group_name_H-M 'C 1 2/m 1'
_symmetry_Int_Tables_number 12
loop_
_symmetry_equiv_pos_as_xyz
'x,y,z'
'-x,-y,-z'
'-x,y,-z'
'x,-y,z'
'x+1/2,y+1/2,z'
'-x+1/2,-y+1/2,-z'
'-x+1/2,y+1/2,-z'
'x+1/2,-y+1/2,z'
loop_
_atom_site_label
_atom_site_fract_x
_atom_site_fract_y
_atom_site_fract_z
Mg1 0.000 0.000 0.000
Mn1 0.138 0.500 0.553
Mn2 0.157 0.500 0.919
In1 0.188 0.500 0.261
O1 0.038 0.500 0.391
O2 0.059 0.500 0.101
O3 0.171 0.000 0.927
O4 0.196 0.000 0.549
O5 0.226 0.500 0.736
```